Simulated powder XRD pattern of Ga2AgAu3 for Cu Kα (λ = 1.5418 Å), from a crystal structure in Alexandria, relaxed with PBE.
Neutral-atom scattering factors, no anomalous dispersion.

Structure:
```
data_Ga2AgAu3
_cell_length_a 9.0427
_cell_length_b 10.7412
_cell_length_c 5.1299
_cell_angle_alpha 90.00
_cell_angle_beta 119.47
_cell_angle_gamma 90.00
_space_group_name_H-M_alt 'C 1 2/c 1'
_space_group_IT_number 15
_space_group_name_Hall '-C 2yc'
loop_
_atom_site_label
_atom_site_type_symbol
_atom_site_fract_x
_atom_site_fract_y
_atom_site_fract_z
Ga1 Ga 0.1996 0.1710 0.2328
Ag1 Ag 0.0000 0.4299 0.2500
Au1 Au 0.0000 0.3016 0.7500
Au2 Au 0.1627 0.0771 0.6758
```

Most intense lines, 2θ from 10° to 90°, by intensity:
2θ (°)  I_rel  index
39.17  100  0 4 1
35.20  50  3 1 0
40.39  23  0 0 2
38.89  21  3 1 -2
28.64  14  1 1 1
54.88  13  3 3 1
73.48  12  6 4 -1
37.00  10  1 1 -2
66.98  10  4 4 -3
19.23  10  1 1 -1